Simulated X-ray diffraction stick pattern
Compound: LaErCo
Radiation: a wavelength of 1.5418 Å
Structure: the PBE geometry in Alexandria

Atomic structure:
```
data_LaErCo
_space_group_name_H-M_alt 'P 1'
_space_group_IT_number 1
_cell_length_a 5.5195
_cell_length_b 5.5195
_cell_length_c 5.2349
_cell_angle_alpha 93.12
_cell_angle_beta 93.12
_cell_angle_gamma 98.80
loop_
_space_group_symop_operation_xyz
'x,y,z'
loop_
_atom_site_label
_atom_site_type_symbol
_atom_site_fract_x
_atom_site_fract_y
_atom_site_fract_z
_atom_site_occupancy
La1 La 0.2246 0.2246 0.4612 1
La2 La 0.7754 0.7754 0.5388 1
Er1 Er 0.2946 0.7054 0.0000 1
Er2 Er 0.7054 0.2946 0.0000 1
Co1 Co 0.1692 0.1692 0.9531 1
Co2 Co 0.8308 0.8308 0.0469 1
```

Top 6 peaks for 2θ from 5° to 70°, in order of falling intensity:
| Position (°2θ) | d_spacing | I (rel.) |
| --- | --- | --- |
| 32.91 | 2.722 | 100.0 |
| 34.41 | 2.606 | 85.0 |
| 27.30 | 3.267 | 79.9 |
| 29.05 | 3.074 | 48.9 |
| 46.68 | 1.946 | 45.0 |
| 31.47 | 2.843 | 43.0 |